[1]
Structure and simulated powder diffraction line list of Ca9Cd4Bi9 (a GGA-PBE-relaxed structure; copper Kα).
Neutral-atom scattering factors, no anomalous dispersion.

Peak list (10 most intense, 2θ = 10–90°, in order of rising 2θ)
| d [Å] | 2θ/deg | I (rel.) | index |
| --- | --- | --- | --- |
| 3.869 | 23.0 | 79 | 1 3 1 |
| 3.794 | 23.4 | 71 | 0 6 0 |
| 3.736 | 23.8 | 100 | 3 3 0 |
| 3.169 | 28.2 | 36 | 3 1 1 |
| 2.940 | 30.4 | 82 | 2 5 1 |
| 2.900 | 30.8 | 62 | 1 6 1 |
| 2.401 | 37.5 | 80 | 0 0 2 |
| 2.288 | 39.4 | 50 | 2 8 1 |
| 2.030 | 44.6 | 39 | 0 6 2 |
| 2.019 | 44.9 | 40 | 3 3 2 |

abc: 12.877 22.766 4.801
angles: 90.00 90.00 90.00
Space group Pbam (No. 55)
Symmetry-distinct sites (fractional):
Ca 0.000 0.000 0.000 [2 per cell]
Ca 0.067 0.411 0.500 [4 per cell]
Ca 0.124 0.233 0.500 [4 per cell]
Ca 0.133 0.864 0.500 [4 per cell]
Ca 0.208 0.600 0.000 [4 per cell]
Cd 0.113 0.760 0.000 [4 per cell]
Cd 0.233 0.453 0.000 [4 per cell]
Bi 0.000 0.500 0.000 [2 per cell]
Bi 0.045 0.143 0.000 [4 per cell]
Bi 0.119 0.686 0.500 [4 per cell]
Bi 0.181 0.013 0.500 [4 per cell]
Bi 0.182 0.328 0.000 [4 per cell]

---

[2]
Structure and simulated powder diffraction line list of Li4Ti15O32 (a GGA-PBE-relaxed structure; copper Kα).
Neutral-atom scattering factors, no anomalous dispersion.

Peak list (10 most intense, 2θ = 10–90°, in order of rising 2θ)
| d [Å] | 2θ/deg | I (rel.) | index |
| --- | --- | --- | --- |
| 4.871 | 18.2 | 100 | 0 0 12 |
| 2.545 | 35.3 | 34 | 0 2 4 |
| 2.110 | 42.9 | 54 | 0 2 16 |
| 1.936 | 46.9 | 7 | 2 0 20 |
| 1.624 | 56.7 | 17 | 0 2 28 |
| 1.492 | 62.2 | 29 | 2 2 0 |
| 1.427 | 65.4 | 10 | 2 2 12 |
| 1.219 | 78.5 | 6 | 4 0 16 |
| 1.182 | 81.4 | 5 | 3 2 4 |
| 1.099 | 89.1 | 4 | 4 0 28 |

abc: 5.9709 5.9709 58.3942
angles: 90.00 90.00 120.00
Space group R3m (No. 160, hexagonal axes)
Symmetry-distinct sites (fractional):
Li 0.0000 0.0000 0.0000 [3 per cell]
Li 0.0000 0.0000 0.0623 [3 per cell]
Li 0.0000 0.0000 0.3111 [3 per cell]
Li 0.0000 0.0000 0.6556 [3 per cell]
Ti 0.0000 0.0000 0.1577 [3 per cell]
Ti 0.0000 0.0000 0.4066 [3 per cell]
Ti 0.0000 0.0000 0.9081 [3 per cell]
Ti 0.0004 0.5002 0.7817 [9 per cell]
Ti 0.0044 0.5022 0.5317 [9 per cell]
Ti 0.0083 0.5042 0.2819 [9 per cell]
Ti 0.1704 0.3409 0.3635 [9 per cell]
O 0.0000 0.0000 0.0964 [3 per cell]
O 0.0000 0.0000 0.2146 [3 per cell]
O 0.0000 0.0000 0.3463 [3 per cell]
O 0.0000 0.0000 0.4648 [3 per cell]
O 0.0000 0.0000 0.5977 [3 per cell]
O 0.0000 0.0000 0.7145 [3 per cell]
O 0.0000 0.0000 0.8474 [3 per cell]
O 0.0000 0.0000 0.9661 [3 per cell]
O 0.0213 0.5106 0.3468 [9 per cell]
O 0.0425 0.5213 0.0947 [9 per cell]
O 0.0426 0.5213 0.8444 [9 per cell]
O 0.0449 0.5225 0.5948 [9 per cell]
O 0.1777 0.3554 0.2989 [9 per cell]
O 0.1863 0.3725 0.0508 [9 per cell]
O 0.1863 0.3725 0.5501 [9 per cell]
O 0.1871 0.3743 0.7998 [9 per cell]

---

[3]
Structure and simulated powder diffraction line list of DyInCo4 (a GGA-PBE-relaxed structure; copper Kα).
Neutral-atom scattering factors, no anomalous dispersion.

Peak list (10 most intense, 2θ = 10–90°, in order of rising 2θ)
| d [Å] | 2θ/deg | I (rel.) | index |
| --- | --- | --- | --- |
| 4.073 | 21.8 | 10 | 1 1 1 |
| 2.494 | 36.0 | 59 | 2 2 0 |
| 2.127 | 42.5 | 100 | 3 1 1 |
| 2.036 | 44.5 | 18 | 2 2 2 |
| 1.618 | 56.9 | 3 | 3 3 1 |
| 1.440 | 64.7 | 21 | 4 2 2 |
| 1.358 | 69.2 | 30 | 5 1 1 |
| 1.247 | 76.4 | 22 | 4 4 0 |
| 1.192 | 80.6 | 2 | 5 3 1 |
| 1.115 | 87.4 | 10 | 6 2 0 |

abc: 7.054 7.054 7.054
angles: 90.00 90.00 90.00
Space group F-43m (No. 216)
Symmetry-distinct sites (fractional):
Dy 0.000 0.000 0.000 [4 per cell]
In 0.250 0.250 0.750 [4 per cell]
Co 0.125 0.125 0.375 [16 per cell]

---

[4]
Structure and simulated powder diffraction line list of Mg6ZnNi (a GGA-PBE-relaxed structure; copper Kα).
Neutral-atom scattering factors, no anomalous dispersion.

Peak list (10 most intense, 2θ = 10–90°, in order of rising 2θ)
| d [Å] | 2θ/deg | I (rel.) | index |
| --- | --- | --- | --- |
| 5.196 | 17.1 | 25 | 0 0 2 |
| 4.765 | 18.6 | 18 | 1 0 0 |
| 2.646 | 33.9 | 30 | 0 2 2 |
| 2.383 | 37.8 | 35 | 2 0 0 |
| 2.313 | 38.9 | 100 | 1 2 2 |
| 2.281 | 39.5 | 47 | 1 0 4 |
| 1.771 | 51.6 | 17 | 2 2 2 |
| 1.509 | 61.4 | 16 | 0 2 6 |
| 1.362 | 69.0 | 17 | 3 2 2 |
| 1.275 | 74.4 | 30 | 2 2 6 |

abc: 4.765 6.149 10.392
angles: 90.00 90.00 90.00
Space group Amm2 (No. 38)
Symmetry-distinct sites (fractional):
Mg 0.000 0.000 0.000 [2 per cell]
Mg 0.000 0.000 0.496 [2 per cell]
Mg 0.000 0.242 0.237 [4 per cell]
Mg 0.500 0.249 0.911 [4 per cell]
Zn 0.500 0.000 0.659 [2 per cell]
Ni 0.500 0.000 0.159 [2 per cell]

---

[5]
Structure and simulated powder diffraction line list of CsAl3Si3O12 (a GGA-PBE-relaxed structure; copper Kα).
Neutral-atom scattering factors, no anomalous dispersion.

Peak list (10 most intense, 2θ = 10–90°, in order of rising 2θ)
| d [Å] | 2θ/deg | I (rel.) | index |
| --- | --- | --- | --- |
| 4.448 | 20.0 | 44 | 1 1 1 |
| 4.138 | 21.5 | 54 | 1 1 2 |
| 4.051 | 21.9 | 65 | 1 1 -3 |
| 3.819 | 23.3 | 100 | 2 0 -4 |
| 3.677 | 24.2 | 86 | 1 1 -4 |
| 3.398 | 26.2 | 72 | 1 1 4 |
| 3.264 | 27.3 | 61 | 2 0 4 |
| 2.736 | 32.7 | 38 | 0 0 8 |
| 2.657 | 33.7 | 88 | 0 2 1 |
| 2.649 | 33.8 | 39 | 3 1 0 |

abc: 9.263 5.350 22.168
angles: 90.00 99.10 90.00
Space group Cc (No. 9)
Symmetry-distinct sites (fractional):
Cs 0.000 0.099 0.000 [4 per cell]
Al 0.100 0.273 0.765 [4 per cell]
Al 0.126 0.409 0.388 [4 per cell]
Al 0.417 0.216 0.765 [4 per cell]
Si 0.217 0.393 0.639 [4 per cell]
Si 0.299 0.109 0.891 [4 per cell]
Si 0.388 0.090 0.138 [4 per cell]
O 0.030 0.037 0.229 [4 per cell]
O 0.041 0.390 0.608 [4 per cell]
O 0.071 0.455 0.310 [4 per cell]
O 0.206 0.319 0.922 [4 per cell]
O 0.235 0.342 0.712 [4 per cell]
O 0.247 0.165 0.409 [4 per cell]
O 0.276 0.158 0.815 [4 per cell]
O 0.287 0.340 0.118 [4 per cell]
O 0.297 0.159 0.607 [4 per cell]
O 0.432 0.050 0.211 [4 per cell]
O 0.469 0.143 0.921 [4 per cell]
O 0.473 0.460 0.290 [4 per cell]